No. 1
This entry pairs a crystal structure of AcTb2Pm4Pr with its computed XRD peak list. Radiation: Cu Kα (weighted mean of Kα1 and Kα2). Structure: a DFT-relaxed cell (PBE, Alexandria).

The 10 most intense peaks (10 to 90 degrees two-theta), low angle first:
d 3.003, rel. 100; d 2.604, rel. 34; d 2.595, rel. 17; d 1.840, rel. 31; d 1.836, rel. 6; d 1.570, rel. 29; d 1.566, rel. 15; d 1.502, rel. 13; d 1.193, rel. 9; d 1.164, rel. 10

Structural model:
Cell: 5.189 5.210 10.411 Å, 90.00 90.10 90.00°
Atoms (fractional coordinates):
Ac1 0.000 0.000 0.000
Tb1 0.000 0.000 0.500
Tb2 0.500 0.500 0.000
Pm1 0.000 0.500 0.255
Pm2 0.000 0.500 0.745
Pm3 0.500 0.000 0.256
Pm4 0.500 0.000 0.744
Pr1 0.500 0.500 0.500

---

No. 2
This entry pairs a crystal structure of HgAu2F8 with its computed XRD peak list. Radiation: Cu Kα (weighted mean of Kα1 and Kα2). Structure: a DFT-relaxed cell (PBE, Alexandria).

The 10 most intense peaks (10 to 90 degrees two-theta), low angle first:
d 5.921, rel. 26; d 4.186, rel. 14; d 3.961, rel. 18; d 3.292, rel. 100; d 2.960, rel. 28; d 2.093, rel. 16; d 1.981, rel. 32; d 1.766, rel. 35; d 1.646, rel. 13; d 1.636, rel. 14

Structural model:
Cell: 5.921 5.921 10.661 Å, 90.00 90.00 90.00°
Atoms (fractional coordinates):
Hg1 0.000 0.000 0.250
Hg2 0.000 0.000 0.750
Au1 0.000 0.500 0.000
Au2 0.000 0.500 0.500
Au3 0.500 0.000 0.000
Au4 0.500 0.000 0.500
F1 0.150 0.313 0.128
F2 0.150 0.313 0.872
F3 0.150 0.687 0.372
F4 0.150 0.687 0.628
F5 0.313 0.150 0.372
F6 0.313 0.150 0.628
F7 0.313 0.850 0.128
F8 0.313 0.850 0.872
F9 0.687 0.150 0.128
F10 0.687 0.150 0.872
F11 0.687 0.850 0.372
F12 0.687 0.850 0.628
F13 0.850 0.313 0.372
F14 0.850 0.313 0.628
F15 0.850 0.687 0.128
F16 0.850 0.687 0.872

---

No. 3
This entry pairs a crystal structure of TbFeH6 with its computed XRD peak list. Radiation: Cu Kα (weighted mean of Kα1 and Kα2). Structure: a DFT-relaxed cell (PBE, Alexandria).

The 10 most intense peaks (10 to 90 degrees two-theta), low angle first:
d 3.590, rel. 28; d 3.101, rel. 100; d 2.201, rel. 38; d 2.185, rel. 39; d 1.872, rel. 10; d 1.795, rel. 21; d 1.551, rel. 12; d 1.391, rel. 17; d 1.383, rel. 17; d 1.268, rel. 13

Structural model:
Cell: 4.371 4.371 4.371 Å, 60.48 60.48 60.48°
Atoms (fractional coordinates):
Tb1 0.000 0.000 0.000
Fe1 0.500 0.500 0.500
H1 0.072 0.603 0.603
H2 0.397 0.397 0.928
H3 0.397 0.928 0.397
H4 0.603 0.072 0.603
H5 0.603 0.603 0.072
H6 0.928 0.397 0.397

---

No. 4
This entry pairs a crystal structure of LiNbCr3 with its computed XRD peak list. Radiation: Cu Kα (weighted mean of Kα1 and Kα2). Structure: a DFT-relaxed cell (PBE, Alexandria).

The 10 most intense peaks (10 to 90 degrees two-theta), low angle first:
d 4.060, rel. 7; d 2.871, rel. 9; d 2.344, rel. 100; d 2.030, rel. 51; d 1.816, rel. 3; d 1.657, rel. 4; d 1.435, rel. 31; d 1.284, rel. 2; d 1.224, rel. 32; d 1.172, rel. 10

Structural model:
Cell: 4.060 4.060 4.060 Å, 90.00 90.00 90.00°
Atoms (fractional coordinates):
Li1 0.000 0.000 0.000
Nb1 0.500 0.500 0.500
Cr1 0.000 0.000 0.500
Cr2 0.000 0.500 0.000
Cr3 0.500 0.000 0.000